For Li2VCrP2O8F2, a GGA+U-relaxed structure gives the simulated XRD peak list in this record (Cu Kα, 1.54184 Å).

Largest 10 diffraction maxima, sorted by position, 15 to 90 degrees two-theta:
Position (°2θ)  I/Imax  index
17.86  34  0 0 2
18.40  40  1 -1 0
18.58  61  1 0 -1
25.81  28  1 -1 2
26.54  28  1 1 0
26.64  72  1 -2 1
26.84  93  0 2 0
29.09  100  1 0 -3
36.22  34  1 0 3
54.63  27  1 2 3

Cell and atoms:
Cell: 5.2135 7.3578 10.5155 Å, 104.16 97.41 108.62°
Positions (direct):
Li  0.0353  0.1166  0.3078
Li  0.4631  0.3748  0.1918
Li  0.5369  0.6252  0.8082
Li  0.9647  0.8834  0.6922
V  0.0000  0.5000  0.0000
V  0.5000  0.5000  0.5000
Cr  0.0000  0.0000  0.0000
Cr  0.5000  0.0000  0.5000
P  0.9997  0.4416  0.6786
P  0.0003  0.5584  0.3214
P  0.4995  0.0577  0.8214
P  0.5005  0.9423  0.1786
O  0.1355  0.4842  0.8285
O  0.1426  0.7835  0.3947
O  0.2059  0.4434  0.3322
O  0.2484  0.9579  0.8779
O  0.2536  0.5412  0.6231
O  0.2878  0.0523  0.1675
O  0.3597  0.7157  0.1057
O  0.3646  0.0120  0.6710
O  0.6354  0.9880  0.3290
O  0.6403  0.2843  0.8943
O  0.7122  0.9477  0.8325
O  0.7464  0.4588  0.3769
O  0.7516  0.0421  0.1221
O  0.7941  0.5566  0.6678
O  0.8574  0.2165  0.6053
O  0.8645  0.5158  0.1715
F  0.1657  0.2938  0.0349
F  0.3341  0.1960  0.4657
F  0.6659  0.8040  0.5343
F  0.8343  0.7062  0.9651